The following is a simulated X-ray powder pattern of LiV2F9. It was derived from a DFT-relaxed cell (GGA+U, Alexandria), using a wavelength of 1.5418 Å.

Structure:
a b c (Å): 5.1264 5.1264 14.3769
angles (deg): 90.84 90.84 60.64
Fractional coordinates of all 24 atoms:
Li: 0.0021 0.9979 0.5000
Li: 0.9979 0.0021 0.0000
V: 0.6611 0.6714 0.3502
V: 0.6694 0.6793 0.1516
V: 0.6714 0.6611 0.8502
V: 0.6793 0.6694 0.6516
F: 0.3371 0.7338 0.0897
F: 0.3407 0.9361 0.9082
F: 0.3460 0.7130 0.4197
F: 0.3625 0.9661 0.5951
F: 0.4099 0.9562 0.2504
F: 0.4201 0.6318 0.7486
F: 0.6318 0.4201 0.2486
F: 0.6563 0.9472 0.7541
F: 0.6800 0.9711 0.4109
F: 0.7087 0.9544 0.0822
F: 0.7130 0.3460 0.9197
F: 0.7338 0.3371 0.5897
F: 0.9361 0.3407 0.4082
F: 0.9472 0.6563 0.2541
F: 0.9544 0.7087 0.5822
F: 0.9562 0.4099 0.7504
F: 0.9661 0.3625 0.0951
F: 0.9711 0.6800 0.9109

Main lines, sorted by position (2θ from 15° to 90°):
d_spacing	two_theta	Rel. int.
4.468	19.87	100
4.425	20.07	50
3.594	24.77	14
2.812	31.82	14
2.275	39.61	35
2.246	40.15	16